This entry pairs a crystal structure of Pr3NdAs3 with its calculated PXRD pattern. Radiation: Cu Kα, 1.54184 Å. Structure: a cell relaxed with GGA-PBE.
Lines closer than 0.1° are merged.

Top 10 peaks for 10° ≤ 2θ ≤ 90°, low angle first:
2θ (°)	d [Å]	I/Imax
27.72	3.219	144
31.06	2.879	1000
36.94	2.433	601
46.80	1.941	87
49.02	1.858	178
51.16	1.785	326
62.93	1.477	217
64.76	1.439	114
66.57	1.405	140
76.96	1.239	149

Crystal structure
```
Pr3NdAs3
1.0
9.1039 0.0000 0.0000
0.0000 9.1039 0.0000
0.0000 0.0000 9.1039
Pr Nd As
12 4 12
Cartesian
0.5991 3.9529 5.1510 Pr
1.6746 1.6746 1.6746 Pr
1.6721 7.4318 2.8798 Pr
2.8798 1.6721 7.4318 Pr
2.8773 7.4293 6.2266 Pr
3.9529 5.1510 0.5991 Pr
5.1510 0.5991 3.9529 Pr
6.2266 2.8773 7.4293 Pr
6.2241 6.2241 6.2241 Pr
7.4318 2.8798 1.6721 Pr
7.4293 6.2266 2.8773 Pr
8.5049 8.5049 8.5049 Pr
0.5996 5.1515 8.5043 Nd
3.9524 3.9524 3.9524 Nd
5.1515 8.5043 0.5996 Nd
8.5043 0.5996 5.1515 Nd
0.0022 2.2853 7.9597 As
9.1017 6.8373 5.6962 As
1.1442 4.5542 2.2667 As
2.2667 1.1442 4.5542 As
2.2853 7.9597 0.0022 As
3.4077 4.5497 6.8186 As
4.5542 2.2667 1.1442 As
4.5497 6.8186 3.4077 As
5.6962 9.1017 6.8373 As
6.8186 3.4077 4.5497 As
6.8373 5.6962 9.1017 As
7.9597 0.0022 2.2853 As
```



This entry pairs a crystal structure of BC3 with its calculated PXRD pattern. Radiation: Cu Kα, 1.54184 Å. Structure: a cell relaxed with GGA-PBE.
Lines closer than 0.1° are merged.

Top 10 peaks for 10° ≤ 2θ ≤ 90°, low angle first:
2θ (°)	d [Å]	I/Imax
13.46	6.579	231
41.16	2.193	286
43.29	2.090	1000
48.42	1.880	21
55.90	1.645	16
71.58	1.318	225
74.57	1.273	252
78.50	1.218	31
86.05	1.130	89
88.91	1.101	117

Crystal structure
```
BC3
1.0
2.5453 0.0000 0.0000
-1.2726 2.2043 0.0000
0.0000 0.0000 13.1583
B C
3 9
Cartesian
0.0000 0.0000 0.0000 B
0.0000 0.0000 6.3568 B
0.0000 1.4695 7.3767 B
0.0000 0.0000 4.7690 C
0.0000 0.0000 11.5267 C
0.0000 1.4695 0.6614 C
0.0000 1.4695 2.1769 C
0.0000 1.4695 8.9631 C
1.2726 0.7348 2.7011 C
1.2726 0.7348 4.2538 C
1.2726 0.7348 9.4644 C
1.2726 0.7348 11.0432 C
```



This entry pairs a crystal structure of YEr5Bi6 with its calculated PXRD pattern. Radiation: Cu Kα, 1.54184 Å. Structure: a cell relaxed with GGA-PBE.
Lines closer than 0.1° are merged.

Top 10 peaks for 10° ≤ 2θ ≤ 90°, low angle first:
2θ (°)	d [Å]	I/Imax
24.47	3.637	40
28.33	3.150	1000
40.50	2.227	780
47.89	1.899	24
50.17	1.819	283
58.62	1.575	134
64.47	1.445	11
66.36	1.409	372
73.67	1.286	277
87.62	1.114	93

Crystal structure
```
YEr5Bi6
1.0
3.8585 -6.6818 0.0000
3.8585 6.6818 0.0000
-2.5705 0.0000 7.2723
Y Er Bi
1 5 6
Cartesian
0.0000 0.0000 0.0000 Y
2.5732 4.4668 3.6362 Er
3.8585 2.2328 0.0000 Er
2.5732 0.0000 3.6362 Er
3.8585 -2.2328 0.0000 Er
2.5732 -4.4668 3.6362 Er
1.2937 2.2380 1.8274 Bi
0.0160 0.0000 5.4522 Bi
1.2937 -2.2380 1.8274 Bi
3.8528 2.2380 5.4449 Bi
5.1305 0.0000 1.8201 Bi
3.8528 -2.2380 5.4449 Bi
```



This entry pairs a crystal structure of Th2Be3Ge4Os with its calculated PXRD pattern. Radiation: Cu Kα, 1.54184 Å. Structure: a cell relaxed with GGA-PBE.
Lines closer than 0.1° are merged.

Top 10 peaks for 10° ≤ 2θ ≤ 90°, low angle first:
2θ (°)	d [Å]	I/Imax
23.15	3.843	589
34.91	2.570	494
35.50	2.529	1000
43.30	2.089	394
49.67	1.836	164
51.60	1.771	204
56.78	1.621	250
58.07	1.588	151
69.58	1.351	168
74.36	1.276	239

Crystal structure
```
Th2Be3Ge4Os
1.0
4.1789 0.0000 0.0000
0.0000 4.1789 0.0000
0.0000 0.0000 9.7793
Th Be Ge Os
2 3 4 1
Cartesian
0.0000 2.0894 2.4341 Th
2.0894 0.0000 7.3452 Th
0.0000 0.0000 0.0000 Be
0.0000 2.0894 6.0978 Be
2.0894 0.0000 3.6815 Be
0.0000 0.0000 4.8896 Ge
0.0000 2.0894 8.4226 Ge
2.0894 0.0000 1.3567 Ge
2.0894 2.0894 4.8896 Ge
2.0894 2.0894 0.0000 Os
```



This entry pairs a crystal structure of Pm7ZnGe2 with its calculated PXRD pattern. Radiation: Cu Kα, 1.54184 Å. Structure: a cell relaxed with GGA-PBE.
Lines closer than 0.1° are merged.

Top 10 peaks for 10° ≤ 2θ ≤ 90°, low angle first:
2θ (°)	d [Å]	I/Imax
24.39	3.650	447
29.02	3.077	284
34.55	2.596	871
34.97	2.566	1000
43.09	2.099	99
49.97	1.825	364
62.42	1.488	491
62.72	1.481	182
73.87	1.283	113
84.15	1.150	214

Crystal structure
```
Pm7ZnGe2
1.0
5.1319 0.0000 0.0000
-2.5659 4.4443 0.0000
0.0000 0.0000 12.7928
Pm Zn Ge
7 1 2
Cartesian
0.0000 0.0000 0.0000 Pm
0.0000 0.0000 3.4070 Pm
0.0000 0.0000 6.8816 Pm
0.0000 2.9629 1.9002 Pm
0.0000 2.9629 8.7635 Pm
2.5659 1.4814 5.0801 Pm
2.5659 1.4814 10.8392 Pm
0.0000 2.9629 5.2932 Zn
0.0000 0.0000 9.8454 Ge
2.5659 1.4814 1.3403 Ge
```



This entry pairs a crystal structure of Pr4Cd2Ge with its calculated PXRD pattern. Radiation: Cu Kα, 1.54184 Å. Structure: a cell relaxed with GGA-PBE.
Lines closer than 0.1° are merged.

Top 10 peaks for 10° ≤ 2θ ≤ 90°, low angle first:
2θ (°)	d [Å]	I/Imax
23.50	3.786	218
33.32	2.689	1000
33.63	2.665	960
48.07	1.893	348
59.55	1.552	185
59.75	1.548	359
60.32	1.534	166
69.98	1.344	113
79.92	1.200	154
80.43	1.194	144

Crystal structure
```
Pr4Cd2Ge
1.0
2.6888 1.5524 8.6671
-2.6888 1.5524 8.6671
0.0000 -3.1047 8.6671
Pr Cd Ge
4 2 1
Cartesian
0.0000 0.0000 3.1699 Pr
0.0000 0.0000 9.7406 Pr
0.0000 0.0000 16.2607 Pr
0.0000 0.0000 22.8313 Pr
0.0000 0.0000 6.4054 Cd
0.0000 0.0000 19.5959 Cd
0.0000 0.0000 0.0000 Ge
```



This entry pairs a crystal structure of Mg2Ni3 with its calculated PXRD pattern. Radiation: Cu Kα, 1.54184 Å. Structure: a cell relaxed with GGA-PBE.
Lines closer than 0.1° are merged.

Top 10 peaks for 10° ≤ 2θ ≤ 90°, low angle first:
2θ (°)	d [Å]	I/Imax
21.46	4.140	612
37.58	2.393	165
39.84	2.263	1000
40.58	2.223	208
41.39	2.182	367
44.55	2.034	370
44.80	2.023	584
46.81	1.941	377
49.64	1.837	306
69.38	1.355	181

Crystal structure
```
Mg2Ni3
1.0
0.0000 11.3592 1.3648
4.4462 0.0000 1.3648
4.4462 11.3592 0.0000
Mg Ni
4 6
Cartesian
2.5168 1.3099 0.6824 Mg
4.7399 4.3697 1.3648 Mg
1.9295 10.0493 0.6824 Mg
4.1526 18.3487 1.3648 Mg
6.2294 7.7378 1.0885 Ni
4.4462 11.3592 0.4946 Ni
2.2231 5.6796 1.1771 Ni
4.0063 9.3010 1.7709 Ni
4.8862 13.4174 1.7709 Ni
2.6631 14.9806 1.0885 Ni
```



This entry pairs a crystal structure of AcBiH6Pd2 with its calculated PXRD pattern. Radiation: Cu Kα, 1.54184 Å. Structure: a cell relaxed with GGA-PBE.
Lines closer than 0.1° are merged.

Top 10 peaks for 10° ≤ 2θ ≤ 90°, low angle first:
2θ (°)	d [Å]	I/Imax
23.72	3.751	263
25.42	3.504	162
29.12	3.066	234
30.13	2.966	1000
33.31	2.690	782
34.85	2.575	181
37.96	2.371	337
38.17	2.358	179
42.34	2.135	253
48.53	1.876	170

Crystal structure
```
AcBiH6Pd2
1.0
4.3027 -6.1322 0.0000
4.3027 6.1322 0.0000
-0.5928 0.0000 4.7412
Ac Bi H Pd
2 2 12 4
Cartesian
3.8581 4.0715 3.5559 Ac
4.1545 -4.0715 1.1853 Ac
4.1545 1.2987 1.1853 Bi
3.8581 -1.2987 3.5559 Bi
3.0046 3.8223 0.9749 H
0.6643 0.0643 4.7301 H
0.9607 -0.0643 2.3595 H
2.6381 2.0153 2.6830 H
5.3045 3.8223 1.3957 H
5.0782 2.0153 4.4288 H
2.9345 -2.0153 0.3124 H
2.7082 -3.8223 3.3455 H
5.3746 -2.0153 2.0582 H
7.0520 0.0643 2.3817 H
7.3484 -0.0643 0.0111 H
5.0081 -3.8223 3.7663 H
1.7187 0.9658 3.6695 Pd
2.0151 -0.9658 1.2989 Pd
5.9975 0.9658 3.4423 Pd
6.2939 -0.9658 1.0717 Pd
```



Q: What is the formula in the seventh record?
A: Mg2Ni3